The following is a calculated X-ray powder pattern of AgAsC2O6. It was derived from DFT lattice parameters and positions (GGA-PBE), using Cu Kα.

Most intense lines, 2θ from 5° to 70°, by angle:
18.8°, d 4.711, intensity 100; 21.8°, d 4.070, intensity 31; 22.1°, d 4.018, intensity 39; 26.3°, d 3.390, intensity 42; 29.0°, d 3.080, intensity 38; 29.2°, d 3.057, intensity 72; 32.5°, d 2.752, intensity 25; 44.5°, d 2.037, intensity 26

Cell and atoms:
Cell lengths 10.0767, 9.4211, 8.3935 Å; angles 90.00, 126.11, 90.00 degrees
Space group C2/c (No. 15)
Inequivalent atoms, fractional coordinates:
1 Ag 0.0000 0.0317 0.2500 (multiplicity 4)
2 As 0.0000 0.4669 0.2500 (multiplicity 4)
3 C 0.2351 0.3946 0.8240 (multiplicity 8)
4 O 0.0791 0.4004 0.6554 (multiplicity 8)
5 O 0.1511 0.1674 0.1621 (multiplicity 8)
6 O 0.2421 0.4680 0.9641 (multiplicity 8)

---

The following is a calculated X-ray powder pattern of TiTc3Mo2. It was derived from DFT lattice parameters and positions (GGA-PBE), using Cu Kα.

Most intense lines, 2θ from 5° to 70°, by angle:
9.4°, d 9.379, intensity 4; 18.9°, d 4.689, intensity 1; 28.7°, d 3.114, intensity 1; 30.2°, d 2.955, intensity 1; 34.6°, d 2.594, intensity 1; 40.9°, d 2.205, intensity 100; 59.1°, d 1.563, intensity 5; 59.4°, d 1.557, intensity 11

Cell and atoms:
Cell lengths 3.1137, 3.1137, 9.3785 Å; angles 90.00, 90.00, 90.00 degrees
Space group P4/mmm (No. 123)
Inequivalent atoms, fractional coordinates:
1 Ti 0.0000 0.0000 0.0000 (multiplicity 1)
2 Tc 0.5000 0.5000 0.1667 (multiplicity 2)
3 Tc 0.5000 0.5000 0.5000 (multiplicity 1)
4 Mo 0.0000 0.0000 0.3291 (multiplicity 2)

---

> What is the formula in the second record?

TiTc3Mo2

---

> What is the formula in the first record?

AgAsC2O6